Record 1
Structure and computed X-ray diffraction stick pattern of LaZn (DFT lattice parameters and positions (PBE); Cu Kα (weighted mean of Kα1 and Kα2)).
No peak broadening, texture or thermal motion is included.

Most intense lines, 10° ≤ 2θ ≤ 90°, by angle:
25.02°, 3.559 Å, intensity 26
27.33°, 3.263 Å, intensity 23
34.77°, 2.580 Å, intensity 13
35.23°, 2.548 Å, intensity 100
36.96°, 2.432 Å, intensity 40
47.99°, 1.896 Å, intensity 11
50.34°, 1.813 Å, intensity 20
53.26°, 1.720 Å, intensity 11
62.08°, 1.495 Å, intensity 17
65.48°, 1.425 Å, intensity 22
74.49°, 1.274 Å, intensity 8
81.06°, 1.186 Å, intensity 9

Cell and atoms:
a b c (Å): 10.3192 10.3192 3.7914
angles (deg): 90.00 90.00 90.00
Sites, in units of the cell vectors:
La 0.1543 0.1543 0.0000
La 0.1543 0.8457 0.0000
La 0.3457 0.3457 0.5000
La 0.3457 0.6543 0.5000
La 0.6543 0.3457 0.5000
La 0.6543 0.6543 0.5000
La 0.8457 0.1543 0.0000
La 0.8457 0.8457 0.0000
Zn 0.0000 0.3630 0.5000
Zn 0.0000 0.6370 0.5000
Zn 0.1370 0.5000 0.0000
Zn 0.3630 0.0000 0.5000
Zn 0.5000 0.1370 0.0000
Zn 0.5000 0.8630 0.0000
Zn 0.6370 0.0000 0.5000
Zn 0.8630 0.5000 0.0000


Record 2
Structure and computed X-ray diffraction stick pattern of La3Zn2 (DFT lattice parameters and positions (PBE); Cu Kα (weighted mean of Kα1 and Kα2)).
No peak broadening, texture or thermal motion is included.

Most intense lines, 10° ≤ 2θ ≤ 90°, by angle:
23.60°, 3.769 Å, intensity 9
29.57°, 3.021 Å, intensity 13
32.48°, 2.756 Å, intensity 100
33.63°, 2.665 Å, intensity 65
35.76°, 2.511 Å, intensity 19
48.29°, 1.885 Å, intensity 23
59.41°, 1.556 Å, intensity 35
61.30°, 1.512 Å, intensity 13
61.52°, 1.507 Å, intensity 8
70.69°, 1.333 Å, intensity 7
79.97°, 1.200 Å, intensity 7
80.60°, 1.192 Å, intensity 11

Cell and atoms:
a b c (Å): 3.7692 3.7692 20.2036
angles (deg): 90.00 90.00 90.00
Sites, in units of the cell vectors:
La 0.0000 0.0000 0.0000
La 0.0000 0.0000 0.1852
La 0.0000 0.0000 0.3696
La 0.0000 0.0000 0.6304
La 0.0000 0.0000 0.8148
La 0.5000 0.5000 0.5000
Zn 0.5000 0.5000 0.0923
Zn 0.5000 0.5000 0.2794
Zn 0.5000 0.5000 0.7206
Zn 0.5000 0.5000 0.9077


Record 3
Structure and computed X-ray diffraction stick pattern of La2Zn (DFT lattice parameters and positions (PBE); Cu Kα (weighted mean of Kα1 and Kα2)).
No peak broadening, texture or thermal motion is included.

Most intense lines, 10° ≤ 2θ ≤ 90°, by angle:
27.51°, 3.242 Å, intensity 16
28.08°, 3.177 Å, intensity 8
31.77°, 2.816 Å, intensity 100
33.62°, 2.666 Å, intensity 57
37.00°, 2.430 Å, intensity 12
44.36°, 2.042 Å, intensity 10
48.28°, 1.885 Å, intensity 20
55.40°, 1.658 Å, intensity 8
56.23°, 1.636 Å, intensity 9
58.96°, 1.566 Å, intensity 34
79.58°, 1.205 Å, intensity 10
80.58°, 1.192 Å, intensity 9

Cell and atoms:
a b c (Å): 3.7699 3.7699 12.7098
angles (deg): 90.00 90.00 90.00
Sites, in units of the cell vectors:
La 0.0000 0.0000 0.0000
La 0.0000 0.0000 0.2912
La 0.0000 0.0000 0.7088
La 0.5000 0.5000 0.5000
Zn 0.5000 0.5000 0.1480
Zn 0.5000 0.5000 0.8520


Record 4
Structure and computed X-ray diffraction stick pattern of La5Zr (DFT lattice parameters and positions (PBE); Cu Kα (weighted mean of Kα1 and Kα2)).
No peak broadening, texture or thermal motion is included.

Most intense lines, 10° ≤ 2θ ≤ 90°, by angle:
28.00°, 3.187 Å, intensity 24
30.73°, 2.910 Å, intensity 26
32.02°, 2.795 Å, intensity 100
42.05°, 2.149 Å, intensity 16
49.55°, 1.840 Å, intensity 18
55.46°, 1.657 Å, intensity 21
59.44°, 1.555 Å, intensity 21
60.22°, 1.537 Å, intensity 14
77.54°, 1.231 Å, intensity 7
81.64°, 1.179 Å, intensity 10
85.00°, 1.141 Å, intensity 8
89.69°, 1.093 Å, intensity 6

Cell and atoms:
a b c (Å): 6.3731 6.3731 5.8191
angles (deg): 90.00 90.00 120.00
Sites, in units of the cell vectors:
La 0.0000 0.6985 0.0000
La 0.3015 0.3015 0.0000
La 0.3333 0.6667 0.5000
La 0.6667 0.3333 0.5000
La 0.6985 0.0000 0.0000
Zr 0.0000 0.0000 0.5000


Record 5
Structure and computed X-ray diffraction stick pattern of LaZr5 (DFT lattice parameters and positions (PBE); Cu Kα (weighted mean of Kα1 and Kα2)).
No peak broadening, texture or thermal motion is included.

Most intense lines, 10° ≤ 2θ ≤ 90°, by angle:
28.04°, 3.182 Å, intensity 1
33.60°, 2.667 Å, intensity 100
38.80°, 2.321 Å, intensity 17
39.09°, 2.304 Å, intensity 33
56.25°, 1.635 Å, intensity 22
56.47°, 1.630 Å, intensity 11
66.94°, 1.398 Å, intensity 13
67.34°, 1.391 Å, intensity 25
70.63°, 1.334 Å, intensity 11
83.25°, 1.161 Å, intensity 2
83.92°, 1.153 Å, intensity 2
84.06°, 1.151 Å, intensity 2

Cell and atoms:
a b c (Å): 4.6056 13.8366 4.6423
angles (deg): 90.00 90.00 90.00
Sites, in units of the cell vectors:
La 0.0000 0.0000 0.0000
La 0.5000 0.5000 0.0000
Zr 0.0000 0.1714 0.5000
Zr 0.0000 0.3291 0.0000
Zr 0.0000 0.5000 0.5000
Zr 0.0000 0.6709 0.0000
Zr 0.0000 0.8286 0.5000
Zr 0.5000 0.0000 0.5000
Zr 0.5000 0.1709 0.0000
Zr 0.5000 0.3286 0.5000
Zr 0.5000 0.6714 0.5000
Zr 0.5000 0.8291 0.0000


Record 6
Structure and computed X-ray diffraction stick pattern of La4Zr3 (DFT lattice parameters and positions (PBE); Cu Kα (weighted mean of Kα1 and Kα2)).
No peak broadening, texture or thermal motion is included.

Most intense lines, 10° ≤ 2θ ≤ 90°, by angle:
29.88°, 2.991 Å, intensity 49
31.72°, 2.821 Å, intensity 100
32.77°, 2.733 Å, intensity 59
34.63°, 2.590 Å, intensity 28
37.20°, 2.417 Å, intensity 39
54.11°, 1.695 Å, intensity 23
54.21°, 1.692 Å, intensity 43
54.90°, 1.672 Å, intensity 13
62.07°, 1.495 Å, intensity 20
71.40°, 1.321 Å, intensity 19
86.92°, 1.121 Å, intensity 18
87.25°, 1.117 Å, intensity 14

Cell and atoms:
a b c (Å): 5.9813 5.9813 6.7256
angles (deg): 90.00 90.00 120.00
Sites, in units of the cell vectors:
La 0.0000 0.0000 0.2314
La 0.0000 0.0000 0.7686
La 0.3333 0.6667 0.0000
La 0.6667 0.3333 0.0000
Zr 0.0000 0.5000 0.5000
Zr 0.5000 0.0000 0.5000
Zr 0.5000 0.5000 0.5000


Record 7
Structure and computed X-ray diffraction stick pattern of LaZr3 (DFT lattice parameters and positions (PBE); Cu Kα (weighted mean of Kα1 and Kα2)).
No peak broadening, texture or thermal motion is included.

Most intense lines, 10° ≤ 2θ ≤ 90°, by angle:
31.41°, 2.848 Å, intensity 31
33.01°, 2.714 Å, intensity 43
35.26°, 2.545 Å, intensity 61
35.60°, 2.522 Å, intensity 100
46.21°, 1.965 Å, intensity 21
55.44°, 1.657 Å, intensity 19
56.16°, 1.638 Å, intensity 9
60.41°, 1.532 Å, intensity 13
60.64°, 1.527 Å, intensity 20
66.06°, 1.414 Å, intensity 21
66.70°, 1.402 Å, intensity 11
68.07°, 1.377 Å, intensity 17

Cell and atoms:
a b c (Å): 3.2758 10.8546 5.7640
angles (deg): 90.00 90.00 90.00
Sites, in units of the cell vectors:
La 0.0000 0.0000 0.0000
La 0.5000 0.5000 0.5000
Zr 0.0000 0.2422 0.3208
Zr 0.0000 0.5000 0.0128
Zr 0.0000 0.7578 0.3208
Zr 0.5000 0.0000 0.5128
Zr 0.5000 0.2578 0.8208
Zr 0.5000 0.7422 0.8208


Record 8
Structure and computed X-ray diffraction stick pattern of LaZr5 (DFT lattice parameters and positions (PBE); Cu Kα (weighted mean of Kα1 and Kα2)).
No peak broadening, texture or thermal motion is included.

Most intense lines, 10° ≤ 2θ ≤ 90°, by angle:
27.72°, 3.218 Å, intensity 3
31.53°, 2.838 Å, intensity 25
33.42°, 2.681 Å, intensity 27
35.80°, 2.508 Å, intensity 100
46.60°, 1.949 Å, intensity 15
56.12°, 1.639 Å, intensity 21
61.28°, 1.513 Å, intensity 15
65.82°, 1.419 Å, intensity 3
66.92°, 1.398 Å, intensity 21
68.39°, 1.372 Å, intensity 14
75.86°, 1.254 Å, intensity 3
87.84°, 1.111 Å, intensity 6

Cell and atoms:
a b c (Å): 3.2768 3.2768 16.0910
angles (deg): 90.00 90.00 120.00
Sites, in units of the cell vectors:
La 0.0000 0.0000 0.0000
Zr 0.0000 0.0000 0.3404
Zr 0.0000 0.0000 0.6596
Zr 0.6667 0.3333 0.1840
Zr 0.6667 0.3333 0.5000
Zr 0.6667 0.3333 0.8160


Record 9
Structure and computed X-ray diffraction stick pattern of Li (DFT lattice parameters and positions (PBE); Cu Kα (weighted mean of Kα1 and Kα2)).
No peak broadening, texture or thermal motion is included.

Most intense lines, 10° ≤ 2θ ≤ 90°, by angle:
37.05°, 2.426 Å, intensity 100
53.40°, 1.716 Å, intensity 18
66.78°, 1.401 Å, intensity 35
78.91°, 1.213 Å, intensity 10

Cell and atoms:
a b c (Å): 3.4314 3.4314 3.4314
angles (deg): 90.00 90.00 90.00
Sites, in units of the cell vectors:
Li 0.0000 0.0000 0.0000
Li 0.5000 0.5000 0.5000


Record 10
Structure and computed X-ray diffraction stick pattern of Li (DFT lattice parameters and positions (PBE); Cu Kα (weighted mean of Kα1 and Kα2)).
No peak broadening, texture or thermal motion is included.

Most intense lines, 10° ≤ 2θ ≤ 90°, by angle:
35.93°, 2.499 Å, intensity 34
36.05°, 2.491 Å, intensity 100
41.84°, 2.159 Å, intensity 66
60.57°, 1.529 Å, intensity 22
60.74°, 1.525 Å, intensity 22
72.48°, 1.304 Å, intensity 12
72.66°, 1.301 Å, intensity 37
76.18°, 1.250 Å, intensity 3
76.48°, 1.246 Å, intensity 10

Cell and atoms:
a b c (Å): 3.0497 3.0497 7.4981
angles (deg): 90.00 90.00 120.00
Sites, in units of the cell vectors:
Li 0.0000 0.0000 0.0000
Li 0.3333 0.6667 0.6667
Li 0.6667 0.3333 0.3333


Record 11
Structure and computed X-ray diffraction stick pattern of Li (DFT lattice parameters and positions (PBE); Cu Kα (weighted mean of Kα1 and Kα2)).
No peak broadening, texture or thermal motion is included.

Most intense lines, 10° ≤ 2θ ≤ 90°, by angle:
32.81°, 2.730 Å, intensity 45
34.83°, 2.576 Å, intensity 100
35.46°, 2.531 Å, intensity 63
36.81°, 2.442 Å, intensity 15
38.87°, 2.317 Å, intensity 29
40.65°, 2.219 Å, intensity 50
42.37°, 2.133 Å, intensity 21
45.41°, 1.997 Å, intensity 28
50.52°, 1.806 Å, intensity 31
58.90°, 1.568 Å, intensity 25
70.99°, 1.328 Å, intensity 12
79.69°, 1.203 Å, intensity 11

Cell and atoms:
a b c (Å): 8.1373 8.1373 5.4701
angles (deg): 90.00 90.00 42.12
Sites, in units of the cell vectors:
Li 0.0754 0.2455 0.2504
Li 0.2455 0.0754 0.7496
Li 0.2495 0.7505 0.4920
Li 0.2505 0.7495 0.9920
Li 0.2545 0.4246 0.2496
Li 0.4246 0.2545 0.7504
Li 0.5754 0.7455 0.2496
Li 0.7455 0.5754 0.7504
Li 0.7495 0.2505 0.0080
Li 0.7505 0.2495 0.5080
Li 0.7545 0.9246 0.2504
Li 0.9246 0.7545 0.7496


Record 12
Structure and computed X-ray diffraction stick pattern of Li (DFT lattice parameters and positions (PBE); Cu Kα (weighted mean of Kα1 and Kα2)).
No peak broadening, texture or thermal motion is included.

Most intense lines, 10° ≤ 2θ ≤ 90°, by angle:
35.48°, 2.530 Å, intensity 100
35.73°, 2.513 Å, intensity 49
38.25°, 2.353 Å, intensity 81
43.93°, 2.061 Å, intensity 55
57.86°, 1.594 Å, intensity 25
61.38°, 1.511 Å, intensity 21
64.85°, 1.438 Å, intensity 17
65.86°, 1.418 Å, intensity 16
67.36°, 1.390 Å, intensity 15
72.28°, 1.307 Å, intensity 12
75.54°, 1.259 Å, intensity 10
83.33°, 1.160 Å, intensity 15

Cell and atoms:
a b c (Å): 3.0008 5.3255 10.0524
angles (deg): 90.00 90.00 90.00
Sites, in units of the cell vectors:
Li 0.1250 0.1250 0.1250
Li 0.1250 0.6250 0.6250
Li 0.3750 0.3750 0.8750
Li 0.3750 0.8750 0.3750
Li 0.6250 0.1250 0.6250
Li 0.6250 0.6250 0.1250
Li 0.8750 0.3750 0.3750
Li 0.8750 0.8750 0.8750


Record 13
Structure and computed X-ray diffraction stick pattern of Li (DFT lattice parameters and positions (PBE); Cu Kα (weighted mean of Kα1 and Kα2)).
No peak broadening, texture or thermal motion is included.

Most intense lines, 10° ≤ 2θ ≤ 90°, by angle:
33.36°, 2.686 Å, intensity 81
33.57°, 2.669 Å, intensity 80
36.52°, 2.461 Å, intensity 81
39.66°, 2.272 Å, intensity 86
39.85°, 2.262 Å, intensity 85
44.59°, 2.032 Å, intensity 100
58.95°, 1.567 Å, intensity 82
71.84°, 1.314 Å, intensity 20
71.96°, 1.312 Å, intensity 20
76.59°, 1.244 Å, intensity 17
78.69°, 1.216 Å, intensity 21
79.06°, 1.211 Å, intensity 21

Cell and atoms:
a b c (Å): 5.7265 7.3815 2.8839
angles (deg): 90.00 90.00 90.00
Sites, in units of the cell vectors:
Li 0.0000 0.0000 0.0000
Li 0.2500 0.3154 0.4908
Li 0.2500 0.6846 0.4908
Li 0.5000 0.0000 0.0000
Li 0.7500 0.3154 0.5092
Li 0.7500 0.6846 0.5092


Record 14
Structure and computed X-ray diffraction stick pattern of LiLu3 (DFT lattice parameters and positions (PBE); Cu Kα (weighted mean of Kα1 and Kα2)).
No peak broadening, texture or thermal motion is included.

Most intense lines, 10° ≤ 2θ ≤ 90°, by angle:
17.04°, 5.203 Å, intensity 28
27.82°, 3.207 Å, intensity 17
28.37°, 3.146 Å, intensity 65
31.62°, 2.829 Å, intensity 100
34.48°, 2.601 Å, intensity 37
37.62°, 2.391 Å, intensity 48
39.16°, 2.300 Å, intensity 72
46.57°, 1.950 Å, intensity 24
59.21°, 1.560 Å, intensity 30
62.51°, 1.486 Å, intensity 16
65.48°, 1.425 Å, intensity 25
68.05°, 1.378 Å, intensity 17

Cell and atoms:
a b c (Å): 3.3005 3.3714 10.4054
angles (deg): 90.00 90.00 90.00
Sites, in units of the cell vectors:
Li 0.0000 0.0000 0.0000
Lu 0.0000 0.5000 0.2633
Lu 0.5000 0.0000 0.4939
Lu 0.5000 0.5000 0.7746


Record 15
Structure and computed X-ray diffraction stick pattern of LiLu3 (DFT lattice parameters and positions (PBE); Cu Kα (weighted mean of Kα1 and Kα2)).
No peak broadening, texture or thermal motion is included.

Most intense lines, 10° ≤ 2θ ≤ 90°, by angle:
16.26°, 5.453 Å, intensity 13
18.50°, 4.797 Å, intensity 11
25.78°, 3.455 Å, intensity 20
29.72°, 3.006 Å, intensity 37
32.85°, 2.726 Å, intensity 22
33.56°, 2.670 Å, intensity 28
34.03°, 2.635 Å, intensity 100
47.67°, 1.908 Å, intensity 16
48.66°, 1.871 Å, intensity 12
59.37°, 1.557 Å, intensity 20
60.30°, 1.535 Å, intensity 20
60.40°, 1.533 Å, intensity 13

Cell and atoms:
a b c (Å): 3.6430 10.9055 5.3408
angles (deg): 90.00 90.00 90.00
Sites, in units of the cell vectors:
Li 0.0000 0.0000 0.0000
Li 0.5000 0.5000 0.5000
Lu 0.0000 0.2753 0.5013
Lu 0.0000 0.5000 0.0006
Lu 0.0000 0.7247 0.5013
Lu 0.5000 0.0000 0.5006
Lu 0.5000 0.2247 0.0013
Lu 0.5000 0.7753 0.0013